# Rb2Tl6CdPb
Calculated powder X-ray diffraction pattern, copper Kα. Input: a PBE-relaxed structure.
Peak positions follow from Bragg's law for the DFT cell and can differ from measured ones.

Top 10 peaks for 2θ from 5° to 70°, in order of rising 2θ:
- d = 6.821 Å, intensity 83.4
- d = 6.737 Å, intensity 85.1
- d = 3.558 Å, intensity 47.9
- d = 3.306 Å, intensity 72.1
- d = 3.065 Å, intensity 63.7
- d = 2.944 Å, intensity 100.0
- d = 2.858 Å, intensity 41.6
- d = 2.594 Å, intensity 65.0
- d = 2.377 Å, intensity 55.1
- d = 2.092 Å, intensity 59.0

Atomic structure:
```
Rb2Tl6CdPb
1.0
4.1833 2.4152 13.4747
-4.1833 2.4152 13.4747
0.0000 -4.8305 13.4747
Rb Tl Cd Pb
4 12 2 2
direct
0.1519 0.1519 0.1519
0.2895 0.2895 0.2895
0.7105 0.7105 0.7105
0.8481 0.8481 0.8481
0.1500 0.5923 0.5923
0.1890 0.8090 0.8090
0.1910 0.1910 0.8110
0.1910 0.8110 0.1910
0.4077 0.4077 0.8500
0.4077 0.8500 0.4077
0.5923 0.1500 0.5923
0.5923 0.5923 0.1500
0.8090 0.1890 0.8090
0.8090 0.8090 0.1890
0.8110 0.1910 0.1910
0.8500 0.4077 0.4077
0.0000 0.0000 0.0000
0.5000 0.5000 0.5000
0.3795 0.3795 0.3795
0.6205 0.6205 0.6205
```

=====

# Nd6Sm2Tm3
Calculated powder X-ray diffraction pattern, copper Kα. Input: a PBE-relaxed structure.
Peak positions follow from Bragg's law for the DFT cell and can differ from measured ones.

Top 10 peaks for 2θ from 5° to 70°, in order of rising 2θ:
- d = 2.954 Å, intensity 100.0
- d = 2.562 Å, intensity 33.9
- d = 2.551 Å, intensity 16.8
- d = 1.814 Å, intensity 6.1
- d = 1.808 Å, intensity 30.2
- d = 1.545 Å, intensity 14.4
- d = 1.543 Å, intensity 14.4
- d = 1.539 Å, intensity 14.3
- d = 1.480 Å, intensity 3.1
- d = 1.476 Å, intensity 9.3

Atomic structure:
```
Nd6Sm2Tm3
1.0
6.2622 0.0000 0.0000
-2.0694 7.7967 0.0000
-1.0341 -2.7884 7.5419
Nd Sm Tm
6 2 3
direct
0.0467 0.1826 0.4097
0.1368 0.5461 0.2316
0.3197 0.2725 0.8649
0.6803 0.7275 0.1351
0.8632 0.4539 0.7684
0.9533 0.8174 0.5903
0.2294 0.9105 0.0480
0.7706 0.0895 0.9520
0.4098 0.6375 0.6807
0.5000 0.0000 0.5000
0.5902 0.3625 0.3193
```